(1)
Simulated powder XRD pattern of NaBeNiP2 for Cu Ka, from the PBE geometry in Alexandria.

Peak list (10 most intense, 10 to 90 degrees two-theta, by angle)
- 2θ 18.9, I 267
- 2θ 25.2, I 1000
- 2θ 37.2, I 699
- 2θ 38.4, I 822
- 2θ 47.6, I 522
- 2θ 51.6, I 446
- 2θ 54.5, I 458
- 2θ 61.9, I 282
- 2θ 69.6, I 156
- 2θ 75.2, I 209

Structural model:
```
data_NaBeNiP2
_chemical_formula_sum 'Na2 Be2 Ni2 P4'
_symmetry_space_group_name_H-M 'I -4 m 2'
_symmetry_Int_Tables_number 119
_symmetry_space_group_name_Hall 'I -4 -2'
_cell_length_a 3.8217
_cell_length_b 3.8217
_cell_length_c 9.3805
_cell_angle_alpha 90.00
_cell_angle_beta 90.00
_cell_angle_gamma 90.00
loop_
_atom_site_label
_atom_site_type_symbol
_atom_site_fract_x
_atom_site_fract_y
_atom_site_fract_z
_atom_site_occupancy
Na1 Na 0.0000 0.0000 0.0000 1
Be1 Be 0.0000 0.5000 0.7500 1
Ni1 Ni 0.0000 0.5000 0.2500 1
P1 P 0.0000 0.0000 0.3784 1
```


(2)
Simulated powder XRD pattern of NaNpBeO5 for Cu Ka, from the PBE geometry in Alexandria.

Peak list (10 most intense, 10 to 90 degrees two-theta, by angle)
- 2θ 17.6, I 1000
- 2θ 20.3, I 331
- 2θ 25.1, I 597
- 2θ 25.5, I 145
- 2θ 29.0, I 212
- 2θ 32.8, I 256
- 2θ 34.1, I 216
- 2θ 35.5, I 135
- 2θ 35.7, I 135
- 2θ 41.1, I 132

Structural model:
```
data_NaNpBeO5
_chemical_formula_sum 'Na4 Np4 Be4 O20'
_symmetry_space_group_name_H-M 'C 1 2/c 1'
_symmetry_Int_Tables_number 15
_cell_length_a 6.8930
_cell_length_b 8.7340
_cell_length_c 7.7477
_cell_angle_alpha 90.00
_cell_angle_beta 115.64
_cell_angle_gamma 90.00
loop_
_symmetry_equiv_pos_as_xyz
'x,y,z'
'-x,-y,-z'
'-x,y,-z+1/2'
'x,-y,z+1/2'
'x+1/2,y+1/2,z'
'-x+1/2,-y+1/2,-z'
'-x+1/2,y+1/2,-z+1/2'
'x+1/2,-y+1/2,z+1/2'
loop_
_atom_site_label
_atom_site_type_symbol
_atom_site_fract_x
_atom_site_fract_y
_atom_site_fract_z
_atom_site_occupancy
Na1 Na 0.0000 0.0939 0.2500 1
Np1 Np 0.2500 0.2500 0.0000 1
Be1 Be 0.0000 0.4380 0.2500 1
O1 O 0.0000 0.1623 0.7500 1
O2 O 0.0495 0.3193 0.1059 1
O3 O 0.2144 0.4526 0.8726 1
```


(3)
Simulated powder XRD pattern of Na6Be8O11 for Cu Ka, from the PBE geometry in Alexandria.

Peak list (10 most intense, 10 to 90 degrees two-theta, by angle)
- 2θ 17.4, I 214
- 2θ 25.8, I 293
- 2θ 35.2, I 401
- 2θ 37.0, I 1000
- 2θ 37.5, I 456
- 2θ 38.4, I 221
- 2θ 39.4, I 232
- 2θ 41.2, I 540
- 2θ 42.2, I 539
- 2θ 43.4, I 661

Structural model:
```
data_Na6Be8O11
_chemical_formula_sum 'Na6 Be8 O11'
_symmetry_space_group_name_H-M 'P -1'
_symmetry_Int_Tables_number 2
_cell_length_a 5.3423
_cell_length_b 6.4303
_cell_length_c 8.3653
_cell_angle_alpha 101.84
_cell_angle_beta 95.81
_cell_angle_gamma 105.10
loop_
_symmetry_equiv_pos_as_xyz
'x,y,z'
'-x,-y,-z'
loop_
_atom_site_label
_atom_site_type_symbol
_atom_site_fract_x
_atom_site_fract_y
_atom_site_fract_z
_atom_site_occupancy
Na1 Na 0.0378 0.2622 0.0529 1
Na2 Na 0.2227 0.3875 0.5029 1
Na3 Na 0.2398 0.7861 0.3170 1
Be1 Be 0.1830 0.9818 0.6458 1
Be2 Be 0.4539 0.4349 0.8633 1
Be3 Be 0.4851 0.1412 0.9511 1
Be4 Be 0.4886 0.7507 0.7495 1
O1 O 0.0000 0.0000 0.5000 1
O2 O 0.2687 0.7673 0.6206 1
O3 O 0.2783 0.1717 0.8049 1
O4 O 0.3283 0.6025 0.9838 1
O5 O 0.3578 0.0416 0.1055 1
O6 O 0.4134 0.4607 0.2764 1
```


(4)
Simulated powder XRD pattern of NaBeOsO5 for Cu Ka, from the PBE geometry in Alexandria.

Peak list (10 most intense, 10 to 90 degrees two-theta, by angle)
- 2θ 18.3, I 1000
- 2θ 20.8, I 332
- 2θ 27.0, I 543
- 2θ 27.5, I 123
- 2θ 30.3, I 204
- 2θ 34.7, I 237
- 2θ 35.0, I 220
- 2θ 37.0, I 120
- 2θ 37.4, I 108
- 2θ 43.4, I 118

Structural model:
```
data_NaBeOsO5
_chemical_formula_sum 'Na4 Be4 Os4 O20'
_symmetry_space_group_name_H-M 'C 1 2/c 1'
_symmetry_Int_Tables_number 15
_cell_length_a 6.5630
_cell_length_b 8.5542
_cell_length_c 7.2145
_cell_angle_alpha 90.00
_cell_angle_beta 116.11
_cell_angle_gamma 90.00
loop_
_symmetry_equiv_pos_as_xyz
'x,y,z'
'-x,-y,-z'
'-x,y,-z+1/2'
'x,-y,z+1/2'
'x+1/2,y+1/2,z'
'-x+1/2,-y+1/2,-z'
'-x+1/2,y+1/2,-z+1/2'
'x+1/2,-y+1/2,z+1/2'
loop_
_atom_site_label
_atom_site_type_symbol
_atom_site_fract_x
_atom_site_fract_y
_atom_site_fract_z
_atom_site_occupancy
Na1 Na 0.0000 0.1607 0.2500 1
Be1 Be 0.0000 0.1876 0.7500 1
Os1 Os 0.0000 0.5000 0.0000 1
O1 O 0.0000 0.4245 0.2500 1
O2 O 0.0971 0.3016 0.6237 1
O3 O 0.1999 0.0685 0.9055 1
```


(5)
Simulated powder XRD pattern of NaBePO4 for Cu Ka, from the PBE geometry in Alexandria.

Peak list (10 most intense, 10 to 90 degrees two-theta, by angle)
- 2θ 22.3, I 1000
- 2θ 36.5, I 533
- 2θ 37.2, I 48
- 2θ 42.5, I 84
- 2θ 43.8, I 261
- 2θ 45.4, I 60
- 2θ 57.8, I 126
- 2θ 65.2, I 108
- 2θ 66.7, I 106
- 2θ 71.7, I 54

Structural model:
```
data_NaBePO4
_chemical_formula_sum 'Na2 Be2 P2 O8'
_symmetry_space_group_name_H-M 'I -4'
_symmetry_Int_Tables_number 82
_cell_length_a 4.8289
_cell_length_b 4.8289
_cell_length_c 7.1035
_cell_angle_alpha 90.00
_cell_angle_beta 90.00
_cell_angle_gamma 90.00
loop_
_symmetry_equiv_pos_as_xyz
'x,y,z'
'y,-x,-z'
'-x,-y,z'
'-y,x,-z'
'x+1/2,y+1/2,z+1/2'
'y+1/2,-x+1/2,-z+1/2'
'-x+1/2,-y+1/2,z+1/2'
'-y+1/2,x+1/2,-z+1/2'
loop_
_atom_site_label
_atom_site_type_symbol
_atom_site_fract_x
_atom_site_fract_y
_atom_site_fract_z
_atom_site_occupancy
Na1 Na 0.0000 0.0000 0.0000 1
Be1 Be 0.0000 0.0000 0.5000 1
P1 P 0.0000 0.5000 0.7500 1
O1 O 0.1144 0.2601 0.6281 1
```


(6)
Simulated powder XRD pattern of Na2PuBe2O6 for Cu Ka, from the PBE geometry in Alexandria.

Peak list (10 most intense, 10 to 90 degrees two-theta, by angle)
- 2θ 14.8, I 512
- 2θ 19.3, I 597
- 2θ 24.4, I 1000
- 2θ 33.7, I 231
- 2θ 35.8, I 381
- 2θ 37.0, I 244
- 2θ 42.1, I 249
- 2θ 45.7, I 199
- 2θ 50.0, I 166
- 2θ 55.0, I 234

Structural model:
```
data_Na2PuBe2O6
_chemical_formula_sum 'Na2 Pu1 Be2 O6'
_symmetry_space_group_name_H-M 'P -3'
_symmetry_Int_Tables_number 147
_cell_length_a 5.3123
_cell_length_b 5.3123
_cell_length_c 5.9778
_cell_angle_alpha 90.00
_cell_angle_beta 90.00
_cell_angle_gamma 120.00
loop_
_symmetry_equiv_pos_as_xyz
'x,y,z'
'-x,-y,-z'
'-y,x-y,z'
'y,-x+y,-z'
'-x+y,-x,z'
'x-y,x,-z'
loop_
_atom_site_label
_atom_site_type_symbol
_atom_site_fract_x
_atom_site_fract_y
_atom_site_fract_z
_atom_site_occupancy
Na1 Na 0.3333 0.6667 0.3553 1
Pu1 Pu 0.0000 0.0000 0.0000 1
Be1 Be 0.3333 0.6667 0.8255 1
O1 O 0.0767 0.7243 0.7993 1
```


(7)
Simulated powder XRD pattern of Na2BeRhO4 for Cu Ka, from the PBE geometry in Alexandria.

Peak list (10 most intense, 10 to 90 degrees two-theta, by angle)
- 2θ 19.2, I 1000
- 2θ 19.9, I 786
- 2θ 20.8, I 949
- 2θ 24.8, I 253
- 2θ 30.5, I 572
- 2θ 32.6, I 285
- 2θ 35.5, I 438
- 2θ 38.9, I 302
- 2θ 40.2, I 586
- 2θ 44.5, I 216

Structural model:
```
data_Na2BeRhO4
_chemical_formula_sum 'Na16 Be8 Rh8 O32'
_symmetry_space_group_name_H-M 'F d d d'
_symmetry_Int_Tables_number 70
_cell_length_a 5.1105
_cell_length_b 10.9572
_cell_length_c 17.0759
_cell_angle_alpha 90.00
_cell_angle_beta 90.00
_cell_angle_gamma 90.00
loop_
_symmetry_equiv_pos_as_xyz
'x,y,z'
'-x,-y,-z'
'-x+1/4,-y+1/4,z'
'x+1/4,y+1/4,-z'
'x,-y+1/4,-z+1/4'
'-x,y+1/4,z+1/4'
'-x+1/4,y,-z+1/4'
'x+1/4,-y,z+1/4'
'x,y+1/2,z+1/2'
'-x,-y+1/2,-z+1/2'
'-x+1/4,-y+3/4,z+1/2'
'x+1/4,y+3/4,-z+1/2'
'x,-y+3/4,-z+3/4'
'-x,y+3/4,z+3/4'
'-x+1/4,y+1/2,-z+3/4'
'x+1/4,-y+1/2,z+3/4'
'x+1/2,y,z+1/2'
'-x+1/2,-y,-z+1/2'
'-x+3/4,-y+1/4,z+1/2'
'x+3/4,y+1/4,-z+1/2'
'x+1/2,-y+1/4,-z+3/4'
'-x+1/2,y+1/4,z+3/4'
'-x+3/4,y,-z+3/4'
'x+3/4,-y,z+3/4'
'x+1/2,y+1/2,z'
'-x+1/2,-y+1/2,-z'
'-x+3/4,-y+3/4,z'
'x+3/4,y+3/4,-z'
'x+1/2,-y+3/4,-z+1/4'
'-x+1/2,y+3/4,z+1/4'
'-x+3/4,y+1/2,-z+1/4'
'x+3/4,-y+1/2,z+1/4'
loop_
_atom_site_label
_atom_site_type_symbol
_atom_site_fract_x
_atom_site_fract_y
_atom_site_fract_z
_atom_site_occupancy
Na1 Na 0.1250 0.1250 0.3131 1
Be1 Be 0.1250 0.1250 0.6250 1
Rh1 Rh 0.1250 0.1250 0.1250 1
O1 O 0.0878 0.2800 0.8357 1
```